[1]
Diffraction record for NaTe2Se4. The powder diffractogram is simulated, not measured: it uses a DFT-relaxed cell (PBE, Alexandria) and Cu Ka.
Intensities are scaled so that the largest is 1000.

Structure:
```
NaTe2Se4
1.0
4.2997 0.0000 0.0000
0.6803 7.0115 0.0000
0.0918 2.4382 7.1533
Na Te Se
1 2 4
Direct
0.0000 0.0000 0.0000 Na
0.0000 0.5000 0.5000 Te
0.5000 0.0000 0.5000 Te
0.0217 0.7577 0.7145 Se
0.4600 0.2420 0.7319 Se
0.5400 0.7580 0.2681 Se
0.9783 0.2423 0.2855 Se
```

Peak list (12 most intense, 10° ≤ 2θ ≤ 90°, most intense first)
2θ/deg  I_rel
12.37  1000
28.54  610
30.26  519
30.80  510
42.24  404
41.32  195
42.73  195
41.93  191
23.61  172
46.02  168
38.75  114
50.91  105

[2]
Diffraction record for CsTa2CdMo. The powder diffractogram is simulated, not measured: it uses a DFT-relaxed cell (PBE, Alexandria) and Cu Ka.
Intensities are scaled so that the largest is 1000.

Structure:
```
CsTa2CdMo
1.0
4.9451 0.0000 0.0000
0.0000 4.9451 0.0000
0.0000 0.0000 5.8095
Cs Ta Cd Mo
1 2 1 1
Direct
0.0000 0.0000 0.0000 Cs
0.0000 0.5000 0.5000 Ta
0.5000 0.0000 0.5000 Ta
0.5000 0.5000 0.0000 Cd
0.5000 0.5000 0.5000 Mo
```

Peak list (12 most intense, 10° ≤ 2θ ≤ 90°, most intense first)
2θ/deg  I_rel
29.82  1000
36.33  572
48.34  505
30.78  447
61.40  259
61.95  239
15.25  212
52.33  199
54.14  189
75.99  132
78.64  127
85.33  100

[3]
Diffraction record for CaMg5Tl8. The powder diffractogram is simulated, not measured: it uses a DFT-relaxed cell (PBE, Alexandria) and Cu Ka.
Intensities are scaled so that the largest is 1000.

Structure:
```
CaMg5Tl8
1.0
-4.5551 4.5551 4.5730
4.5551 -4.5551 4.5730
4.5551 4.5551 -4.5730
Ca Mg Tl
1 5 8
Direct
0.0000 0.0000 0.0000 Ca
0.2123 0.6249 0.1532 Mg
0.3751 0.5283 0.5874 Mg
0.4717 0.0591 0.8468 Mg
0.7500 0.2500 0.5000 Mg
0.9409 0.7877 0.4126 Mg
0.1114 0.6817 0.7559 Tl
0.1635 0.2623 0.7623 Tl
0.3183 0.0742 0.4297 Tl
0.5000 0.4012 0.2377 Tl
0.5988 0.8365 0.0988 Tl
0.6446 0.8886 0.5703 Tl
0.7377 0.5000 0.9012 Tl
0.9258 0.3554 0.2441 Tl
```

Peak list (12 most intense, 10° ≤ 2θ ≤ 90°, most intense first)
2θ/deg  I_rel
36.87  1000
23.90  830
30.98  565
51.10  263
31.04  251
62.85  228
48.95  198
27.65  153
50.98  140
60.93  106
70.01  91
64.70  86